Record 1
Diffraction record for Na3CaTiP3O12. The powder X-ray diffraction pattern is computed, not measured: it uses a DFT-relaxed cell (GGA-PBE, the Materials Project) and CuKα.

```
40
Lattice="7.794 -4.594 0.000 7.794 4.594 0.000 -5.055 0.000 7.436" Properties=species:S:1:pos:R:3 pbc="T T T"
Na 5.267 4.026 3.718
Na 6.419 2.108 0.418
Na 9.069 0.938 2.305
Na 3.891 -2.108 4.136
Na 6.542 -0.938 6.023
Na 7.794 -4.026 0.000
Ca 4.382 2.277 6.901
Ca 6.909 -2.277 3.183
Ti 3.378 2.208 1.663
Ti 0.850 -2.208 5.381
P -1.241 0.418 6.318
P 1.287 -0.418 2.600
P 5.744 1.124 3.824
P 8.271 -1.124 0.107
P 12.360 0.754 0.864
P 9.832 -0.754 4.581
O 2.578 3.365 5.933
O 0.018 0.338 2.886
O 4.291 1.244 0.119
O -2.510 -0.338 6.604
O 2.450 0.644 2.224
O 5.250 1.832 2.503
O 8.821 3.201 1.444
O -0.078 -0.644 5.942
O 4.862 1.623 4.935
O 1.763 -1.244 3.837
O 7.238 1.658 4.130
O 8.224 0.398 0.001
O 5.696 -0.398 3.719
O 10.910 1.154 0.688
O 2.722 -1.832 6.221
O 8.151 1.271 7.017
O 7.390 -1.623 1.217
O 9.925 0.822 4.529
O 5.106 -3.365 2.215
O 9.766 -1.658 0.412
O 8.382 -1.154 4.406
O 12.453 -0.822 0.812
O 10.679 -1.271 3.299
O 6.293 -3.201 5.161
```

Main lines, low angle first (10° ≤ 2θ ≤ 90°):
two_theta	intensity
13.8	33
19.6	41
22.8	47
22.9	43
23.0	44
27.7	30
30.0	32
31.2	100
31.4	39
33.8	54
33.9	34
46.7	32

Record 2
Diffraction record for U3O8. The powder X-ray diffraction pattern is computed, not measured: it uses a DFT-relaxed cell (GGA-PBE, the Materials Project) and CuKα.

```
22
Lattice="3.542 -5.776 0.000 3.542 5.776 0.000 0.000 0.000 8.343" Properties=species:S:1:pos:R:3 pbc="T T T"
U 3.542 5.648 6.257
U 3.542 1.932 6.257
U 3.542 1.739 2.086
U 3.542 -1.739 6.257
U 3.542 -1.932 2.086
U 3.542 -5.648 2.086
O 0.000 0.000 0.000
O 0.000 0.000 4.171
O 2.258 3.610 6.257
O 3.542 3.848 2.086
O 2.238 0.264 6.257
O 2.238 -0.264 2.086
O 3.542 1.770 0.112
O 3.542 1.770 4.059
O 4.826 3.610 6.257
O 2.258 -3.610 2.086
O 3.542 -1.770 4.284
O 3.542 -1.770 8.230
O 4.846 0.264 6.257
O 4.846 -0.264 2.086
O 3.542 -3.848 6.257
O 4.826 -3.610 2.086
```

Main lines, low angle first (10° ≤ 2θ ≤ 90°):
two_theta	intensity
21.3	94
25.1	61
26.3	100
33.2	45
34.1	76
43.4	19
45.0	30
50.3	34
50.8	19
51.5	33
58.9	17
64.3	21

Record 3
Diffraction record for La2MgSnO6. The powder X-ray diffraction pattern is computed, not measured: it uses a DFT-relaxed cell (GGA-PBE, the Materials Project) and CuKα.

```
10
Lattice="2.877 1.661 4.628 -2.877 1.661 4.628 0.000 -3.322 4.628" Properties=species:S:1:pos:R:3 pbc="T T T"
La 0.000 0.000 3.455
La 0.000 0.000 10.429
Mg 0.000 0.000 6.942
Sn 0.000 0.000 0.000
O -1.702 0.400 5.792
O -1.198 -1.274 8.093
O 0.505 -1.674 5.792
O -0.505 1.674 8.093
O 1.198 1.274 5.792
O 1.702 -0.400 8.093
```

Main lines, low angle first (10° ≤ 2θ ≤ 90°):
two_theta	intensity
18.9	21
22.0	16
31.1	93
31.4	100
44.8	55
55.3	26
55.5	43
56.1	20
64.8	15
65.6	17
73.8	17
74.3	18